Tb: calculated powder X-ray diffraction pattern (Cu Kα (λ = 1.5418 Å)), based on a GGA-PBE-relaxed structure.
No peak broadening, texture or thermal motion is included.

The 6 most intense peaks (10 to 80 degrees two-theta), by angle:
d [Å]  two_theta  I/Imax
2.907  30.75  100
2.518  35.66  51
1.780  51.32  36
1.518  61.03  43
1.454  64.05  12
1.259  75.52  6

Structural model:
a = 3.561 Å, b = 3.561 Å, c = 3.561 Å
α = 60.00°, β = 60.00°, γ = 60.00°
Element x y z (fractional)
Tb1 0.000 0.000 0.000